The following is a simulated PXRD pattern of Ca4Pd2F. It was derived from the PBE geometry in Alexandria, using a wavelength of 1.5418 Å.
Kinematic intensities with the Lorentz-polarization factor, no thermal factor.

Peak list (8 most intense, 10 to 80 degrees two-theta, in order of rising 2θ)
| 2θ (°) | I (rel.) |
| --- | --- |
| 19.93 | 52 |
| 27.17 | 73 |
| 29.46 | 36 |
| 34.25 | 81 |
| 35.52 | 100 |
| 38.81 | 80 |
| 52.71 | 44 |
| 68.13 | 41 |

Crystal structure
Lattice parameters (Å, degrees): 8.578 8.578 8.578 148.61 148.61 44.98
Fractional positions:
Ca (0.000, 0.500, 0.500)
Ca (0.187, 0.187, 0.000)
Ca (0.500, 0.000, 0.500)
Ca (0.813, 0.813, 0.000)
Pd (0.373, 0.373, 0.000)
Pd (0.627, 0.627, 0.000)
F (0.000, 0.000, 0.000)